1.
# Nd12InPd5
Theoretical X-ray powder pattern, CuKα. Input: a structure optimized by DFT (PBE).

The 10 most intense peaks (2θ from 10° to 90°), in order of rising 2θ:
| d [Å] | 2θ/deg | I_rel |
| --- | --- | --- |
| 3.097 | 28.83 | 25 |
| 2.930 | 30.51 | 100 |
| 2.763 | 32.41 | 79 |
| 2.731 | 32.79 | 91 |
| 2.681 | 33.43 | 59 |
| 2.649 | 33.84 | 33 |
| 2.441 | 36.83 | 37 |
| 1.800 | 50.71 | 24 |
| 1.682 | 54.57 | 27 |
| 1.610 | 57.23 | 43 |

Unit cell a=8.8135 b=8.8135 c=8.8135 alpha=112.75 beta=110.15 gamma=105.60
Positions (direct):
Nd: 0.0356 0.2236 0.8121
Nd: 0.1796 0.2888 0.4684
Nd: 0.1796 0.7112 0.8908
Nd: 0.3258 0.0243 0.6985
Nd: 0.3258 0.6273 0.3015
Nd: 0.4115 0.2236 0.1879
Nd: 0.5885 0.7764 0.8121
Nd: 0.6742 0.3727 0.6985
Nd: 0.6742 0.9757 0.3015
Nd: 0.8204 0.2888 0.1092
Nd: 0.8204 0.7112 0.5316
Nd: 0.9644 0.7764 0.1879
In: 0.5000 0.5000 0.0000
Pd: 0.0000 0.0000 0.0000
Pd: 0.1306 0.6306 0.5000
Pd: 0.3538 0.0000 0.3538
Pd: 0.6462 0.0000 0.6462
Pd: 0.8694 0.3694 0.5000

---

2.
# SrNdInPd
Theoretical X-ray powder pattern, CuKα. Input: a structure optimized by DFT (PBE).

The 10 most intense peaks (2θ from 10° to 90°), in order of rising 2θ:
| d [Å] | 2θ/deg | I_rel |
| --- | --- | --- |
| 4.415 | 20.11 | 4 |
| 2.704 | 33.13 | 100 |
| 2.306 | 39.06 | 2 |
| 1.912 | 47.56 | 18 |
| 1.754 | 52.13 | 1 |
| 1.561 | 59.19 | 37 |
| 1.472 | 63.18 | 1 |
| 1.352 | 69.53 | 11 |
| 1.209 | 79.22 | 16 |
| 1.104 | 88.60 | 4 |

Unit cell a=7.6476 b=7.6476 c=7.6476 alpha=90.00 beta=90.00 gamma=90.00
Positions (direct):
Sr: 0.0000 0.0000 0.0000
Sr: 0.0000 0.5000 0.5000
Sr: 0.5000 0.0000 0.5000
Sr: 0.5000 0.5000 0.0000
Nd: 0.0000 0.0000 0.5000
Nd: 0.0000 0.5000 0.0000
Nd: 0.5000 0.0000 0.0000
Nd: 0.5000 0.5000 0.5000
In: 0.2500 0.2500 0.2500
In: 0.2500 0.7500 0.7500
In: 0.7500 0.2500 0.7500
In: 0.7500 0.7500 0.2500
Pd: 0.2500 0.2500 0.7500
Pd: 0.2500 0.7500 0.2500
Pd: 0.7500 0.2500 0.2500
Pd: 0.7500 0.7500 0.7500

---

3.
# PmNd5In6
Theoretical X-ray powder pattern, CuKα. Input: a structure optimized by DFT (PBE).

The 10 most intense peaks (2θ from 10° to 90°), in order of rising 2θ:
| d [Å] | 2θ/deg | I_rel |
| --- | --- | --- |
| 2.737 | 32.73 | 100 |
| 1.940 | 46.84 | 6 |
| 1.933 | 47.02 | 12 |
| 1.582 | 58.34 | 12 |
| 1.579 | 58.45 | 25 |
| 1.369 | 68.54 | 8 |
| 1.367 | 68.68 | 4 |
| 1.226 | 77.91 | 5 |
| 1.223 | 78.18 | 11 |
| 1.117 | 87.24 | 3 |

Unit cell a=9.4752 b=9.4752 c=5.4647 alpha=106.74 beta=106.74 gamma=119.93
Positions (direct):
Pm: 0.0000 0.0000 0.0000
Nd: 0.1674 0.8326 0.5000
Nd: 0.3336 0.6664 0.0000
Nd: 0.5000 0.5000 0.5000
Nd: 0.6664 0.3336 0.0000
Nd: 0.8326 0.1674 0.5000
In: 0.0829 0.4151 0.2489
In: 0.2480 0.2480 0.7480
In: 0.4151 0.0829 0.2489
In: 0.5849 0.9171 0.7511
In: 0.7520 0.7520 0.2520
In: 0.9171 0.5849 0.7511

---

4.
# Pm2Nd6In
Theoretical X-ray powder pattern, CuKα. Input: a structure optimized by DFT (PBE).

The 10 most intense peaks (2θ from 10° to 90°), in order of rising 2θ:
| d [Å] | 2θ/deg | I_rel |
| --- | --- | --- |
| 2.954 | 30.26 | 100 |
| 2.576 | 34.82 | 34 |
| 2.523 | 35.58 | 16 |
| 1.822 | 50.07 | 12 |
| 1.803 | 50.64 | 24 |
| 1.551 | 59.63 | 28 |
| 1.527 | 60.64 | 14 |
| 1.477 | 62.93 | 12 |
| 1.181 | 81.52 | 6 |
| 1.170 | 82.40 | 11 |

Unit cell a=10.9306 b=10.9306 c=5.0463 alpha=90.00 beta=90.00 gamma=90.00
Positions (direct):
Pm: 0.1605 0.1605 0.0000
Pm: 0.3395 0.6605 0.5000
Pm: 0.6605 0.3395 0.5000
Pm: 0.8395 0.8395 0.0000
Nd: 0.0001 0.3326 0.5000
Nd: 0.9999 0.6674 0.5000
Nd: 0.1603 0.8397 0.0000
Nd: 0.1674 0.5001 0.0000
Nd: 0.3326 0.0001 0.5000
Nd: 0.3397 0.3397 0.5000
Nd: 0.5001 0.1674 0.0000
Nd: 0.4999 0.8326 0.0000
Nd: 0.6603 0.6603 0.5000
Nd: 0.6674 0.9999 0.5000
Nd: 0.8326 0.4999 0.0000
Nd: 0.8397 0.1603 0.0000
In: 0.0000 0.0000 0.5000
In: 0.5000 0.5000 0.0000

---

5.
# Pm5NdIn4
Theoretical X-ray powder pattern, CuKα. Input: a structure optimized by DFT (PBE).

The 10 most intense peaks (2θ from 10° to 90°), in order of rising 2θ:
| d [Å] | 2θ/deg | I_rel |
| --- | --- | --- |
| 2.829 | 31.63 | 100 |
| 2.616 | 34.28 | 6 |
| 2.552 | 35.17 | 42 |
| 2.278 | 39.56 | 10 |
| 1.804 | 50.58 | 15 |
| 1.699 | 53.95 | 16 |
| 1.521 | 60.89 | 30 |
| 1.414 | 66.05 | 8 |
| 1.163 | 83.03 | 6 |
| 1.141 | 84.99 | 7 |

Unit cell a=3.6089 b=3.6089 c=22.7816 alpha=90.00 beta=90.00 gamma=90.00
Positions (direct):
Pm: 0.0000 0.0000 0.0000
Pm: 0.0000 0.0000 0.1917
Pm: 0.0000 0.0000 0.3824
Pm: 0.0000 0.0000 0.6176
Pm: 0.0000 0.0000 0.8083
Nd: 0.5000 0.5000 0.5000
In: 0.5000 0.5000 0.0960
In: 0.5000 0.5000 0.2880
In: 0.5000 0.5000 0.7120
In: 0.5000 0.5000 0.9040

---

6.
# Pm3Nd4In
Theoretical X-ray powder pattern, CuKα. Input: a structure optimized by DFT (PBE).

The 10 most intense peaks (2θ from 10° to 90°), in order of rising 2θ:
| d [Å] | 2θ/deg | I_rel |
| --- | --- | --- |
| 2.934 | 30.47 | 100 |
| 2.561 | 35.03 | 34 |
| 2.500 | 35.92 | 16 |
| 1.811 | 50.38 | 12 |
| 1.789 | 51.05 | 23 |
| 1.541 | 60.03 | 28 |
| 1.514 | 61.21 | 14 |
| 1.467 | 63.41 | 12 |
| 1.174 | 82.11 | 5 |
| 1.162 | 83.15 | 11 |

Unit cell a=5.0005 b=10.2489 c=10.2428 alpha=90.00 beta=90.00 gamma=90.00
Positions (direct):
Pm: 0.2500 0.0011 0.1163
Pm: 0.2500 0.4989 0.1163
Pm: 0.2500 0.7500 0.8800
Pm: 0.7500 0.2500 0.1200
Pm: 0.7500 0.5011 0.8837
Pm: 0.7500 0.9989 0.8837
Nd: 0.2500 0.0055 0.6342
Nd: 0.2500 0.2500 0.3728
Nd: 0.2500 0.4945 0.6342
Nd: 0.2500 0.7500 0.3651
Nd: 0.7500 0.2500 0.6349
Nd: 0.7500 0.5055 0.3658
Nd: 0.7500 0.7500 0.6272
Nd: 0.7500 0.9945 0.3658
In: 0.2500 0.2500 0.8786
In: 0.7500 0.7500 0.1214

---

Which formula does entry 1 have?
Nd12InPd5